No. 1
Computed powder diffraction line list
Compound: ZnC2S2N2
Radiation: CuKα
Structure: a crystal structure in Alexandria, relaxed with GGA-PBE
No peak broadening, texture or thermal motion is included.

Top 12 peaks for 2θ = 5–70°, low angle first:
d [Å], Position (°2θ), Rel. int.
7.390, 11.98, 251
6.007, 14.75, 526
5.455, 16.25, 593
5.133, 17.28, 374
5.025, 17.65, 267
4.953, 17.91, 262
4.834, 18.35, 1000
4.133, 21.50, 349
3.778, 23.55, 553
3.734, 23.83, 410
3.695, 24.08, 567
3.621, 24.59, 546

Structural model:
Unit cell a=8.1143 b=8.1981 c=11.3797 alpha=71.06 beta=71.64 gamma=84.36
Fractional positions:
Zn: 0.2029 0.4114 0.3200
Zn: 0.2915 0.0819 0.7907
Zn: 0.7085 0.9181 0.2093
Zn: 0.7971 0.5886 0.6800
C: 0.0770 0.4048 0.8138
C: 0.0958 0.1316 0.5931
C: 0.3816 0.6955 0.3696
C: 0.4914 0.2436 0.1370
C: 0.5086 0.7564 0.8630
C: 0.6184 0.3045 0.6304
C: 0.9042 0.8684 0.4069
C: 0.9230 0.5952 0.1862
S: 0.0634 0.9887 0.7377
S: 0.2074 0.2965 0.8962
S: 0.3570 0.8447 0.9572
S: 0.4726 0.8381 0.4026
S: 0.5274 0.1619 0.5974
S: 0.6430 0.1553 0.0428
S: 0.7926 0.7035 0.1038
S: 0.9366 0.0113 0.2623
N: 0.0174 0.5141 0.2432
N: 0.1166 0.2324 0.4888
N: 0.3122 0.5924 0.3495
N: 0.3812 0.3102 0.2012
N: 0.6188 0.6898 0.7988
N: 0.6878 0.4076 0.6505
N: 0.8834 0.7676 0.5112
N: 0.9826 0.4859 0.7568

No. 2
Computed powder diffraction line list
Compound: Sc8CN3
Radiation: CuKα
Structure: a crystal structure in Alexandria, relaxed with GGA-PBE
No peak broadening, texture or thermal motion is included.

Top 12 peaks for 2θ = 5–70°, low angle first:
d [Å], Position (°2θ), Rel. int.
5.380, 16.48, 231
2.690, 33.30, 282
2.661, 33.69, 886
2.311, 38.98, 1000
1.785, 51.19, 63
1.641, 56.06, 276
1.627, 56.56, 301
1.557, 59.34, 26
1.401, 66.79, 86
1.392, 67.24, 195
1.388, 67.47, 104
1.345, 69.94, 37

Structural model:
Unit cell a=6.5627 b=6.5627 c=6.5627 alpha=59.45 beta=59.45 gamma=59.45
Fractional positions:
Sc: 0.2413 0.7438 0.7438
Sc: 0.2424 0.2424 0.2424
Sc: 0.2562 0.2562 0.7587
Sc: 0.2562 0.7587 0.2562
Sc: 0.7438 0.2414 0.7438
Sc: 0.7438 0.7438 0.2413
Sc: 0.7576 0.7576 0.7576
Sc: 0.7587 0.2562 0.2562
C: 0.5000 0.5000 0.5000
N: 0.0000 0.0000 0.5000
N: 0.0000 0.5000 0.0000
N: 0.5000 0.0000 0.0000

No. 3
Computed powder diffraction line list
Compound: Zr2Sc2C2N
Radiation: CuKα
Structure: a crystal structure in Alexandria, relaxed with GGA-PBE
No peak broadening, texture or thermal motion is included.

Top 12 peaks for 2θ = 5–70°, low angle first:
d [Å], Position (°2θ), Rel. int.
5.376, 16.49, 283
2.988, 29.91, 252
2.817, 31.76, 901
2.688, 33.34, 446
2.495, 35.99, 696
2.428, 37.03, 749
2.416, 37.21, 1000
2.054, 44.10, 460
1.998, 45.39, 278
1.945, 46.71, 394
1.499, 61.88, 480
1.363, 68.90, 365

Structural model:
Unit cell a=3.3001 b=5.4104 c=10.7514 alpha=90.00 beta=90.00 gamma=90.00
Fractional positions:
Zr: 0.0000 0.0000 0.2140
Zr: 0.0000 0.0000 0.7860
Zr: 0.5000 0.5000 0.2860
Zr: 0.5000 0.5000 0.7140
Sc: 0.0000 0.2327 0.5000
Sc: 0.0000 0.7673 0.5000
Sc: 0.5000 0.2673 0.0000
Sc: 0.5000 0.7327 0.0000
C: 0.0000 0.5000 0.1463
C: 0.0000 0.5000 0.8537
C: 0.5000 0.0000 0.3537
C: 0.5000 0.0000 0.6463
N: 0.0000 0.0000 0.0000
N: 0.5000 0.5000 0.5000

No. 4
Computed powder diffraction line list
Compound: TcCSeN2
Radiation: CuKα
Structure: a crystal structure in Alexandria, relaxed with GGA-PBE
No peak broadening, texture or thermal motion is included.

Top 12 peaks for 2θ = 5–70°, low angle first:
d [Å], Position (°2θ), Rel. int.
5.417, 16.36, 68
3.738, 23.81, 1000
3.077, 29.02, 45
2.709, 33.07, 359
2.643, 33.92, 374
2.193, 41.16, 470
1.892, 48.10, 281
1.869, 48.72, 223
1.672, 54.93, 202
1.538, 60.15, 227
1.423, 65.63, 235
1.354, 69.39, 36

Structural model:
Unit cell a=3.7378 b=3.7378 c=5.4172 alpha=90.00 beta=90.00 gamma=90.00
Fractional positions:
Tc: 0.0000 0.0000 0.0000
C: 0.5000 0.5000 0.5000
Se: 0.0000 0.0000 0.5000
N: 0.0000 0.5000 0.0000
N: 0.5000 0.0000 0.0000

No. 5
Computed powder diffraction line list
Compound: Sm8C3N
Radiation: CuKα
Structure: a crystal structure in Alexandria, relaxed with GGA-PBE
No peak broadening, texture or thermal motion is included.

Top 12 peaks for 2θ = 5–70°, low angle first:
d [Å], Position (°2θ), Rel. int.
6.380, 13.88, 143
3.190, 27.97, 333
2.998, 29.80, 1000
2.635, 34.02, 783
2.067, 43.80, 95
1.907, 47.70, 238
1.823, 50.05, 280
1.637, 56.21, 103
1.582, 58.31, 262
1.557, 59.34, 146
1.524, 60.79, 74
1.498, 61.94, 91

Structural model:
Unit cell a=7.2923 b=7.2923 c=7.6510 alpha=118.57 beta=118.57 gamma=59.94
Fractional positions:
Sm: 0.2380 0.2380 0.7162
Sm: 0.2380 0.7408 0.7163
Sm: 0.2592 0.7620 0.2837
Sm: 0.2597 0.2597 0.2795
Sm: 0.7403 0.7403 0.7205
Sm: 0.7408 0.2380 0.7163
Sm: 0.7620 0.2592 0.2837
Sm: 0.7620 0.7620 0.2838
C: 0.0000 0.5000 0.5000
C: 0.5000 0.0000 0.5000
C: 0.5000 0.5000 0.5000
N: 0.0000 0.0000 0.5000

No. 6
Computed powder diffraction line list
Compound: Sm8CN3
Radiation: CuKα
Structure: a crystal structure in Alexandria, relaxed with GGA-PBE
No peak broadening, texture or thermal motion is included.

Top 12 peaks for 2θ = 5–70°, low angle first:
d [Å], Position (°2θ), Rel. int.
6.249, 14.17, 133
3.124, 28.57, 330
2.968, 30.11, 1000
2.602, 34.46, 797
2.035, 44.53, 86
1.876, 48.54, 245
1.807, 50.52, 284
1.608, 57.29, 107
1.564, 59.07, 264
1.543, 59.94, 146
1.497, 62.01, 67
1.484, 62.59, 139

Structural model:
Unit cell a=7.2281 b=7.2281 c=7.5092 alpha=118.71 beta=118.71 gamma=59.96
Fractional positions:
Sm: 0.2372 0.7414 0.7202
Sm: 0.2388 0.2388 0.7168
Sm: 0.2587 0.2587 0.2800
Sm: 0.2586 0.7628 0.2798
Sm: 0.7414 0.2372 0.7202
Sm: 0.7413 0.7413 0.7200
Sm: 0.7612 0.7612 0.2832
Sm: 0.7628 0.2586 0.2798
C: 0.5000 0.5000 0.5000
N: 0.0000 0.0000 0.5000
N: 0.0000 0.5000 0.5000
N: 0.5000 0.0000 0.5000

No. 7
Computed powder diffraction line list
Compound: Sm8C2N3
Radiation: CuKα
Structure: a crystal structure in Alexandria, relaxed with GGA-PBE
No peak broadening, texture or thermal motion is included.

Top 12 peaks for 2θ = 5–70°, low angle first:
d [Å], Position (°2θ), Rel. int.
3.034, 29.44, 497
2.993, 29.86, 504
2.982, 29.97, 1000
2.602, 34.48, 836
2.584, 34.71, 414
1.854, 49.14, 138
1.843, 49.46, 274
1.825, 49.99, 436
1.569, 58.87, 138
1.564, 59.06, 137
1.558, 59.31, 281
1.491, 62.27, 143

Structural model:
Unit cell a=7.2971 b=7.2971 c=6.4055 alpha=106.11 beta=106.11 gamma=60.04
Fractional positions:
Sm: 0.1126 0.6362 0.2373
Sm: 0.1147 0.1147 0.2364
Sm: 0.3638 0.8874 0.7627
Sm: 0.3802 0.3802 0.7853
Sm: 0.6198 0.6198 0.2147
Sm: 0.6362 0.1126 0.2373
Sm: 0.8853 0.8853 0.7636
Sm: 0.8874 0.3638 0.7627
C: 0.2503 0.2503 0.9934
C: 0.7497 0.7497 0.0066
N: 0.0000 0.0000 0.5000
N: 0.2482 0.7518 0.0000
N: 0.7518 0.2482 0.0000

No. 8
Computed powder diffraction line list
Compound: SrSmC3N6
Radiation: CuKα
Structure: a crystal structure in Alexandria, relaxed with GGA-PBE
No peak broadening, texture or thermal motion is included.

Top 12 peaks for 2θ = 5–70°, low angle first:
d [Å], Position (°2θ), Rel. int.
5.401, 16.41, 258
4.568, 19.43, 1000
3.349, 26.62, 329
3.123, 28.58, 356
2.772, 32.29, 122
2.701, 33.17, 421
2.284, 39.45, 256
2.102, 43.03, 255
1.988, 45.63, 286
1.933, 47.00, 148
1.887, 48.23, 216
1.765, 51.80, 107

Structural model:
Unit cell a=6.2748 b=6.2748 c=6.2748 alpha=64.51 beta=64.51 gamma=64.51
Fractional positions:
Sr: 0.0000 0.0000 0.0000
Sm: 0.5000 0.5000 0.5000
C: 0.0000 0.5000 0.5000
C: 0.5000 0.0000 0.5000
C: 0.5000 0.5000 0.0000
N: 0.1016 0.4242 0.6608
N: 0.3392 0.8984 0.5758
N: 0.4242 0.6608 0.1016
N: 0.5758 0.3392 0.8984
N: 0.6608 0.1016 0.4242
N: 0.8984 0.5758 0.3392

No. 9
Computed powder diffraction line list
Compound: Sm3TeCN
Radiation: CuKα
Structure: a crystal structure in Alexandria, relaxed with GGA-PBE
No peak broadening, texture or thermal motion is included.

Top 12 peaks for 2θ = 5–70°, low angle first:
d [Å], Position (°2θ), Rel. int.
3.376, 26.40, 184
3.066, 29.12, 386
3.052, 29.26, 920
2.981, 29.98, 644
2.932, 30.49, 177
2.737, 32.72, 1000
2.545, 35.27, 254
2.324, 38.74, 187
1.988, 45.63, 264
1.663, 55.23, 191
1.654, 55.56, 228
1.612, 57.13, 179

Structural model:
Unit cell a=7.5447 b=3.9765 c=10.1816 alpha=90.00 beta=110.77 gamma=90.00
Fractional positions:
Sm: 0.0263 0.2500 0.3671
Sm: 0.2954 0.2500 0.9395
Sm: 0.4232 0.7500 0.6739
Sm: 0.5768 0.2500 0.3261
Sm: 0.7046 0.7500 0.0605
Sm: 0.9737 0.7500 0.6329
Te: 0.2015 0.7500 0.1953
Te: 0.7985 0.2500 0.8047
C: 0.1919 0.2500 0.6122
C: 0.8081 0.7500 0.3878
N: 0.4035 0.7500 0.8836
N: 0.5965 0.2500 0.1164

No. 10
Computed powder diffraction line list
Compound: SnC8N6
Radiation: CuKα
Structure: a crystal structure in Alexandria, relaxed with GGA-PBE
No peak broadening, texture or thermal motion is included.

Top 12 peaks for 2θ = 5–70°, low angle first:
d [Å], Position (°2θ), Rel. int.
6.791, 13.04, 582
5.718, 15.50, 264
4.366, 20.34, 1000
4.217, 21.07, 186
4.040, 22.00, 445
3.478, 25.61, 287
2.917, 30.65, 360
2.628, 34.11, 179
2.556, 35.11, 175
2.462, 36.49, 161
2.205, 40.94, 162
2.185, 41.33, 294

Structural model:
Unit cell a=8.4342 b=5.7007 c=11.4521 alpha=90.00 beta=90.00 gamma=90.00
Fractional positions:
Sn: 0.0000 0.0000 0.0000
Sn: 0.5000 0.0000 0.5000
C: 0.0000 0.3982 0.2617
C: 0.0000 0.4119 0.6604
C: 0.0000 0.5881 0.3396
C: 0.0000 0.6018 0.7383
C: 0.1434 0.3157 0.6211
C: 0.1434 0.6843 0.3789
C: 0.3566 0.3157 0.8789
C: 0.3566 0.6843 0.1211
C: 0.5000 0.3982 0.2383
C: 0.5000 0.4119 0.8396
C: 0.5000 0.5881 0.1604
C: 0.5000 0.6018 0.7617
C: 0.6434 0.3157 0.8789
C: 0.6434 0.6843 0.1211
C: 0.8566 0.3157 0.6211
C: 0.8566 0.6843 0.3789
N: 0.0000 0.2372 0.1978
N: 0.0000 0.7628 0.8022
N: 0.2369 0.2361 0.9126
N: 0.2369 0.7639 0.0874
N: 0.2631 0.2361 0.5874
N: 0.2631 0.7639 0.4126
N: 0.5000 0.2372 0.3022
N: 0.5000 0.7628 0.6978
N: 0.7369 0.2361 0.5874
N: 0.7369 0.7639 0.4126
N: 0.7631 0.2361 0.9126
N: 0.7631 0.7639 0.0874

No. 11
Computed powder diffraction line list
Compound: Sr4CN4
Radiation: CuKα
Structure: a crystal structure in Alexandria, relaxed with GGA-PBE
No peak broadening, texture or thermal motion is included.

Top 12 peaks for 2θ = 5–70°, low angle first:
d [Å], Position (°2θ), Rel. int.
3.276, 27.22, 236
3.064, 29.15, 393
2.973, 30.06, 1000
2.938, 30.43, 242
2.885, 30.99, 191
2.747, 32.60, 234
2.672, 33.54, 356
2.431, 36.97, 356
1.988, 45.63, 194
1.912, 47.56, 195
1.855, 49.13, 277
1.587, 58.15, 213

Structural model:
Unit cell a=12.2551 b=3.8240 c=14.8445 alpha=90.00 beta=90.00 gamma=90.00
Fractional positions:
Sr: 0.1066 0.2500 0.1760
Sr: 0.1153 0.7500 0.3941
Sr: 0.1245 0.7500 0.9626
Sr: 0.1495 0.2500 0.7598
Sr: 0.3505 0.7500 0.2598
Sr: 0.3755 0.2500 0.4626
Sr: 0.3847 0.2500 0.8941
Sr: 0.3934 0.7500 0.6760
Sr: 0.6066 0.2500 0.3240
Sr: 0.6153 0.7500 0.1059
Sr: 0.6245 0.7500 0.5374
Sr: 0.6495 0.2500 0.7402
Sr: 0.8505 0.7500 0.2402
Sr: 0.8755 0.2500 0.0374
Sr: 0.8847 0.2500 0.6059
Sr: 0.8934 0.7500 0.8240
C: 0.1459 0.7500 0.5898
C: 0.3541 0.2500 0.0898
C: 0.6459 0.7500 0.9102
C: 0.8541 0.2500 0.4102
N: 0.0081 0.2500 0.8808
N: 0.0556 0.7500 0.6284
N: 0.2245 0.2500 0.3221
N: 0.2351 0.7500 0.5497
N: 0.2649 0.2500 0.0497
N: 0.2755 0.7500 0.8221
N: 0.4444 0.2500 0.1284
N: 0.4919 0.7500 0.3808
N: 0.5081 0.2500 0.6192
N: 0.5556 0.7500 0.8716
N: 0.7245 0.2500 0.1779
N: 0.7351 0.7500 0.9503
N: 0.7649 0.2500 0.4503
N: 0.7755 0.7500 0.6779
N: 0.9444 0.2500 0.3716
N: 0.9919 0.7500 0.1192

No. 12
Computed powder diffraction line list
Compound: Sr2CN2
Radiation: CuKα
Structure: a crystal structure in Alexandria, relaxed with GGA-PBE
No peak broadening, texture or thermal motion is included.

Top 12 peaks for 2θ = 5–70°, low angle first:
d [Å], Position (°2θ), Rel. int.
3.644, 24.43, 535
2.757, 32.48, 495
2.715, 32.99, 825
2.644, 33.90, 1000
1.934, 46.97, 571
1.920, 47.35, 219
1.719, 53.30, 94
1.698, 54.01, 74
1.576, 58.59, 240
1.569, 58.86, 178
1.553, 59.52, 196
1.441, 64.70, 161

Structural model:
Unit cell a=6.0738 b=6.0738 c=5.5134 alpha=90.00 beta=90.00 gamma=126.92
Fractional positions:
Sr: 0.1043 0.8957 0.7569
Sr: 0.3957 0.6043 0.7569
Sr: 0.6043 0.3957 0.2431
Sr: 0.8957 0.1043 0.2431
C: 0.2500 0.7500 0.1532
C: 0.7500 0.2500 0.8468
N: 0.1354 0.8646 0.2524
N: 0.3646 0.6354 0.2524
N: 0.6354 0.3646 0.7476
N: 0.8646 0.1354 0.7476